No. 1
Starting from the GGA-PBE geometry in Alexandria, the powder X-ray diffraction pattern of Sr2Cd5Pb3 was calculated for Cu Ka.
Peak positions follow from Bragg's law for the DFT cell and can differ from measured ones.

Cell and atoms:
```
data_Sr2Cd5Pb3
_space_group_name_H-M_alt 'P -4 m 2'
_space_group_IT_number 115
_cell_length_a 4.814
_cell_length_b 4.814
_cell_length_c 13.212
_cell_angle_alpha 90.00
_cell_angle_beta 90.00
_cell_angle_gamma 90.00
loop_
_space_group_symop_operation_xyz
'x,y,z'
'y,-x,-z'
'-x,-y,z'
'-y,x,-z'
'-x,y,z'
'-y,-x,-z'
'x,-y,z'
'y,x,-z'
loop_
_atom_site_label
_atom_site_fract_x
_atom_site_fract_y
_atom_site_fract_z
Sr1 0.000 0.500 0.228
Cd1 0.000 0.000 0.000
Cd2 0.000 0.000 0.500
Cd3 0.000 0.500 0.877
Cd4 0.500 0.500 0.000
Pb1 0.000 0.500 0.656
Pb2 0.500 0.500 0.500
```

Peak list (10 most intense, 10 to 90 degrees two-theta, by intensity)
29.5 deg, I = 100
37.4 deg, I = 66
38.0 deg, I = 58
19.6 deg, I = 39
38.9 deg, I = 31
27.4 deg, I = 28
62.6 deg, I = 23
53.9 deg, I = 23
55.0 deg, I = 22
67.8 deg, I = 20



No. 2
Starting from the GGA-PBE geometry in Alexandria, the powder X-ray diffraction pattern of SrCd6Pb12 was calculated for Cu Ka.
Peak positions follow from Bragg's law for the DFT cell and can differ from measured ones.

Cell and atoms:
```
data_SrCd6Pb12
_space_group_name_H-M_alt 'I m -3'
_space_group_IT_number 204
_space_group_name_Hall '-I 2 2 3'
_cell_length_a 10.473
_cell_length_b 10.473
_cell_length_c 10.473
_cell_angle_alpha 90.00
_cell_angle_beta 90.00
_cell_angle_gamma 90.00
loop_
_atom_site_label
_atom_site_fract_x
_atom_site_fract_y
_atom_site_fract_z
Sr1 0.000 0.000 0.000
Cd1 0.000 0.137 0.500
Pb1 0.000 0.275 0.185
```

Peak list (10 most intense, 10 to 90 degrees two-theta, by intensity)
32.0 deg, I = 100
29.5 deg, I = 41
54.0 deg, I = 29
34.2 deg, I = 26
50.8 deg, I = 23
36.4 deg, I = 19
38.4 deg, I = 19
62.7 deg, I = 15
52.4 deg, I = 13
24.0 deg, I = 12



No. 3
Starting from the GGA-PBE geometry in Alexandria, the powder X-ray diffraction pattern of SrCd4Pb8 was calculated for Cu Ka.
Peak positions follow from Bragg's law for the DFT cell and can differ from measured ones.

Cell and atoms:
```
data_SrCd4Pb8
_space_group_name_H-M_alt 'I 4/m m m'
_space_group_IT_number 139
_space_group_name_Hall '-I 4 2'
_cell_length_a 11.514
_cell_length_b 11.514
_cell_length_c 5.932
_cell_angle_alpha 90.00
_cell_angle_beta 90.00
_cell_angle_gamma 90.00
loop_
_atom_site_label
_atom_site_fract_x
_atom_site_fract_y
_atom_site_fract_z
Sr1 0.000 0.000 0.000
Cd1 0.250 0.250 0.250
Pb1 0.000 0.212 0.500
Pb2 0.000 0.351 0.000
```

Peak list (10 most intense, 10 to 90 degrees two-theta, by intensity)
31.8 deg, I = 100
37.5 deg, I = 60
35.5 deg, I = 53
31.1 deg, I = 44
27.7 deg, I = 40
57.1 deg, I = 40
34.8 deg, I = 37
34.0 deg, I = 34
55.8 deg, I = 27
30.1 deg, I = 24



Repeat the third record exactly.
Starting from the GGA-PBE geometry in Alexandria, the powder X-ray diffraction pattern of SrCd4Pb8 was calculated for Cu Ka.
Peak positions follow from Bragg's law for the DFT cell and can differ from measured ones.

Cell and atoms:
```
data_SrCd4Pb8
_space_group_name_H-M_alt 'I 4/m m m'
_space_group_IT_number 139
_space_group_name_Hall '-I 4 2'
_cell_length_a 11.514
_cell_length_b 11.514
_cell_length_c 5.932
_cell_angle_alpha 90.00
_cell_angle_beta 90.00
_cell_angle_gamma 90.00
loop_
_atom_site_label
_atom_site_fract_x
_atom_site_fract_y
_atom_site_fract_z
Sr1 0.000 0.000 0.000
Cd1 0.250 0.250 0.250
Pb1 0.000 0.212 0.500
Pb2 0.000 0.351 0.000
```

Peak list (10 most intense, 10 to 90 degrees two-theta, by intensity)
31.8 deg, I = 100
37.5 deg, I = 60
35.5 deg, I = 53
31.1 deg, I = 44
27.7 deg, I = 40
57.1 deg, I = 40
34.8 deg, I = 37
34.0 deg, I = 34
55.8 deg, I = 27
30.1 deg, I = 24